Starting from DFT lattice parameters and positions (PBE), the XRD peak list of SrMnH8Ir2 was simulated for a wavelength of 1.5418 Å.
Peak positions follow from Bragg's law for the DFT cell and can differ from measured ones.

Peak list (8 most intense, 15 to 90 degrees two-theta, in order of falling intensity)
| 2θ (°) | I (rel.) |
| --- | --- |
| 38.21 | 100 |
| 30.37 | 91 |
| 34.33 | 71 |
| 15.63 | 49 |
| 24.20 | 44 |
| 43.35 | 30 |
| 41.51 | 26 |
| 49.56 | 23 |

Structure:
```
data_SrMnH8Ir2
_cell_length_a 6.287
_cell_length_b 6.287
_cell_length_c 6.287
_cell_angle_alpha 44.01
_cell_angle_beta 44.01
_cell_angle_gamma 44.01
_symmetry_space_group_name_H-M 'P 1'
_symmetry_Int_Tables_number 1
loop_
_symmetry_equiv_pos_as_xyz
'x,y,z'
loop_
_atom_site_label
_atom_site_fract_x
_atom_site_fract_y
_atom_site_fract_z
Sr1 0.000 0.000 0.000
Mn1 0.500 0.500 0.500
H1 0.130 0.562 0.562
H2 0.307 0.307 0.307
H3 0.438 0.438 0.870
H4 0.438 0.870 0.438
H5 0.562 0.130 0.562
H6 0.562 0.562 0.130
H7 0.693 0.693 0.693
H8 0.870 0.438 0.438
Ir1 0.212 0.212 0.212
Ir2 0.788 0.788 0.788
```